Diffraction record for PmPr3Nd7. The X-ray powder pattern is simulated, not measured: it uses a structure optimized by DFT (GGA-PBE) and a wavelength of 1.5418 Å.

Cell and atoms:
a b c (Å): 11.2211 11.2211 3.6610
angles (deg): 90.00 90.00 120.00
Space group P-6m2 (No. 187)
Inequivalent atoms, fractional coordinates:
Pm: 0.0000 0.0000 0.0000
Pr: 0.2977 0.1489 0.5000
Nd: 0.1964 0.3928 0.0000
Nd: 0.5069 0.0138 0.5000
Nd: 0.6667 0.3333 0.0000

Main lines, low angle first (2θ = 10–90°):
Position (°2θ), d_spacing, intensity, index
27.54, 3.239, 26, 3 0 0
29.13, 3.066, 29, 1 1 1
30.57, 2.924, 93, 2 0 1
31.90, 2.805, 100, 2 2 0
34.59, 2.593, 41, 2 1 1
60.38, 1.533, 32, 2 2 2

---

Diffraction record for Pm3Pr3Nd2. The X-ray powder pattern is simulated, not measured: it uses a structure optimized by DFT (GGA-PBE) and a wavelength of 1.5418 Å.

Cell and atoms:
a b c (Å): 5.9762 14.8434 6.4215
angles (deg): 90.00 90.00 90.00
Space group Pmmn (No. 59, origin choice 2)
Inequivalent atoms, fractional coordinates:
Pm: 0.2500 0.1258 0.1667
Pm: 0.2500 0.7500 0.6657
Pr: 0.2500 0.9996 0.6666
Pr: 0.2500 0.2500 0.6653
Nd: 0.2500 0.6251 0.1643

Main lines, low angle first (2θ = 10–90°):
Position (°2θ), d_spacing, intensity, index
27.77, 3.212, 23, 0 4 1
29.90, 2.988, 26, 2 0 0
31.62, 2.829, 100, 1 0 2
49.12, 1.855, 19, 0 8 0
54.18, 1.693, 22, 3 0 2
58.58, 1.576, 23, 2 8 0

---

Diffraction record for Pm3PrNd7. The X-ray powder pattern is simulated, not measured: it uses a structure optimized by DFT (GGA-PBE) and a wavelength of 1.5418 Å.

Cell and atoms:
a b c (Å): 11.1714 11.1714 3.6579
angles (deg): 90.00 90.00 120.00
Space group P-6m2 (No. 187)
Inequivalent atoms, fractional coordinates:
Pm: 0.1777 0.3555 0.0000
Pr: 0.3333 0.6667 0.5000
Nd: 0.0000 0.0000 0.0000
Nd: 0.3093 0.1546 0.5000
Nd: 0.5370 0.0740 0.0000

Main lines, low angle first (2θ = 10–90°):
Position (°2θ), d_spacing, intensity, index
27.66, 3.225, 23, 3 0 0
30.64, 2.918, 100, 2 0 1
32.05, 2.793, 70, 2 2 0
34.69, 2.586, 24, 2 1 1
56.25, 1.635, 29, 4 2 1
60.51, 1.530, 23, 2 2 2

---

Diffraction record for Pm7PrNd3. The X-ray powder pattern is simulated, not measured: it uses a structure optimized by DFT (GGA-PBE) and a wavelength of 1.5418 Å.

Cell and atoms:
a b c (Å): 7.2571 7.2571 8.8181
angles (deg): 90.00 90.00 120.00
Space group P3m1 (No. 156)
Inequivalent atoms, fractional coordinates:
Pm: 0.0000 0.0000 0.0000
Pm: 0.0006 0.5003 0.0077
Pm: 0.3323 0.1661 0.6725
Pr: 0.3333 0.6667 0.6796
Nd: 0.1664 0.3328 0.3392

Main lines, low angle first (2θ = 10–90°):
Position (°2θ), d_spacing, intensity, index
30.19, 2.960, 100, 0 2 1
30.41, 2.939, 32, 0 0 3
35.07, 2.559, 67, 2 0 2
50.29, 1.814, 24, 2 2 0
50.58, 1.805, 24, 0 2 4
59.91, 1.544, 28, 2 2 3

---

Diffraction record for PmPr4Nd7. The X-ray powder pattern is simulated, not measured: it uses a structure optimized by DFT (GGA-PBE) and a wavelength of 1.5418 Å.

Cell and atoms:
a b c (Å): 6.4409 7.4152 9.2235
angles (deg): 89.95 76.51 89.92
Space group P-1 (No. 2)
Inequivalent atoms, fractional coordinates:
Pm: 0.0000 0.0000 0.0000
Pr: 0.2210 0.5002 0.3314
Pr: 0.2802 0.2488 0.6689
Nd: 0.0000 0.5000 0.0000
Nd: 0.2196 0.0002 0.3311
Nd: 0.2792 0.7508 0.6695
Nd: 0.5002 0.2490 0.0004

Main lines, low angle first (2θ = 10–90°):
Position (°2θ), d_spacing, intensity, index
27.95, 3.193, 36, 1 -2 0
29.89, 2.990, 50, 0 0 3
30.82, 2.901, 100, 2 0 2
32.43, 2.760, 84, 2 0 -1
49.03, 1.858, 25, 3 2 1
58.49, 1.578, 30, 3 2 -2

---

Diffraction record for PmPr7Nd3. The X-ray powder pattern is simulated, not measured: it uses a structure optimized by DFT (GGA-PBE) and a wavelength of 1.5418 Å.

Cell and atoms:
a b c (Å): 13.0425 11.5463 6.0605
angles (deg): 90.00 117.59 90.00
Space group C2/m (No. 12)
Inequivalent atoms, fractional coordinates:
Pm: 0.0000 0.0000 0.0000
Pr: 0.0000 0.0000 0.5000
Pr: 0.1995 0.2966 0.1996
Pr: 0.2085 0.5000 0.7080
Nd: 0.0000 0.2926 0.5000
Nd: 0.0000 0.5000 0.0000

Main lines, low angle first (2θ = 10–90°):
Position (°2θ), d_spacing, intensity, index
29.48, 3.030, 54, 2 0 -2
30.96, 2.888, 43, 0 4 0
31.56, 2.835, 35, 2 2 1
31.59, 2.832, 100, 4 2 -1
43.28, 2.091, 34, 2 4 -2
53.63, 1.709, 30, 0 2 3

---

Diffraction record for Pm8Pr3Nd. The X-ray powder pattern is simulated, not measured: it uses a structure optimized by DFT (GGA-PBE) and a wavelength of 1.5418 Å.

Cell and atoms:
a b c (Å): 6.4177 8.7145 8.7427
angles (deg): 85.80 68.49 68.62
Space group P1 (No. 1)
Inequivalent atoms, fractional coordinates:
Pm: 0.0000 0.0000 0.0000
Pm: 0.0001 0.4994 0.5005
Pm: 0.3314 0.2459 0.7471
Pm: 0.3310 0.7464 0.2475
Pm: 0.3354 0.1645 0.1654
Pm: 0.3354 0.6650 0.6649
Pm: 0.6672 0.4105 0.9115
Pm: 0.6668 0.9111 0.4120
Pr: 0.0024 0.5785 0.0794
Pr: 0.6654 0.3319 0.3331
Pr: 0.6653 0.8324 0.8325
Nd: 0.0023 0.0786 0.5794

Main lines, low angle first (2θ = 10–90°):
Position (°2θ), d_spacing, intensity, index
27.82, 3.207, 17, -1 1 1
30.08, 2.971, 30, 0 2 -2
31.71, 2.822, 100, 2 2 0
31.83, 2.812, 19, 1 3 1
49.32, 1.848, 15, 3 3 3
58.72, 1.572, 14, 3 2 -2

---

Diffraction record for PmPr6Nd3. The X-ray powder pattern is simulated, not measured: it uses a structure optimized by DFT (GGA-PBE) and a wavelength of 1.5418 Å.

Cell and atoms:
a b c (Å): 10.1798 10.1798 12.0870
angles (deg): 90.00 90.00 120.00
Space group R-3 (No. 148, hexagonal axes)
Inequivalent atoms, fractional coordinates:
Pm: 0.0000 0.0000 0.0000
Pr: 0.0005 0.3262 0.7500
Nd: 0.0000 0.0000 0.2496
Nd: 0.0000 0.0000 0.5000

Main lines, low angle first (2θ = 10–90°):
Position (°2θ), d_spacing, intensity, index
28.25, 3.159, 64, 1 1 3
30.42, 2.939, 100, 3 0 0
31.29, 2.859, 17, 1 0 4
41.99, 2.152, 22, 2 2 3
52.73, 1.736, 22, 4 1 3
54.05, 1.697, 20, 3 3 0

---

Diffraction record for Pm4PrNd3. The X-ray powder pattern is simulated, not measured: it uses a structure optimized by DFT (GGA-PBE) and a wavelength of 1.5418 Å.

Cell and atoms:
a b c (Å): 10.3802 7.3389 7.3388
angles (deg): 90.00 90.00 90.00
Space group Pmna (No. 53)
Inequivalent atoms, fractional coordinates:
Pm: 0.0000 0.0000 0.0000
Pm: 0.0000 0.5000 0.5000
Pm: 0.2500 0.2495 0.2500
Pr: 0.0000 0.5000 0.0000
Nd: 0.0000 0.0000 0.5000
Nd: 0.2500 0.2496 0.7500

Main lines, low angle first (2θ = 10–90°):
Position (°2θ), d_spacing, intensity, index
29.82, 2.996, 100, 2 2 0
34.57, 2.595, 51, 4 0 0
49.69, 1.835, 36, 4 2 2
59.03, 1.565, 43, 6 2 0
80.71, 1.191, 18, 6 4 2
83.26, 1.160, 16, 8 2 2

---

Diffraction record for Pm2Pr3Nd3. The X-ray powder pattern is simulated, not measured: it uses a structure optimized by DFT (GGA-PBE) and a wavelength of 1.5418 Å.

Cell and atoms:
a b c (Å): 6.3838 14.7437 6.3901
angles (deg): 90.00 109.40 90.00
Space group P2_1/m (No. 11)
Inequivalent atoms, fractional coordinates:
Pm: 0.2497 0.1254 0.2498
Pr: 0.2495 0.2500 0.7495
Pr: 0.2499 0.9999 0.7501
Nd: 0.2504 0.6252 0.2503
Nd: 0.2506 0.7500 0.7504

Main lines, low angle first (2θ = 10–90°):
Position (°2θ), d_spacing, intensity, index
29.67, 3.011, 100, 2 0 0
34.39, 2.607, 51, 1 4 1
49.43, 1.844, 36, 2 0 2
58.72, 1.572, 43, 3 4 1
61.61, 1.505, 13, 4 0 0
80.27, 1.196, 12, 5 4 -1

---

Diffraction record for PmPr2Nd. The X-ray powder pattern is simulated, not measured: it uses a structure optimized by DFT (GGA-PBE) and a wavelength of 1.5418 Å.

Cell and atoms:
a b c (Å): 5.7574 3.6047 13.6866
angles (deg): 90.00 90.00 90.00
Space group Amm2 (No. 38)
Inequivalent atoms, fractional coordinates:
Pm: 0.0000 0.0000 0.0000
Pr: 0.0000 0.0000 0.2568
Pr: 0.5000 0.0000 0.3827
Nd: 0.5000 0.0000 0.6382

Main lines, low angle first (2θ = 10–90°):
Position (°2θ), d_spacing, intensity, index
29.97, 2.982, 89, 1 1 1
30.39, 2.941, 100, 1 0 4
31.07, 2.879, 48, 2 0 0
31.63, 2.828, 41, 0 1 3
44.93, 2.018, 31, 2 1 3
60.22, 1.537, 29, 1 2 4

---

Diffraction record for Pm2Pr5Nd2. The X-ray powder pattern is simulated, not measured: it uses a structure optimized by DFT (GGA-PBE) and a wavelength of 1.5418 Å.

Cell and atoms:
a b c (Å): 18.1475 3.5646 10.1362
angles (deg): 90.00 98.69 90.00
Space group C2/m (No. 12)
Inequivalent atoms, fractional coordinates:
Pm: 0.1626 0.0000 0.2283
Pr: 0.0000 0.0000 0.0000
Pr: 0.1692 0.5000 0.5380
Pr: 0.1763 0.0000 0.8727
Nd: 0.0037 0.5000 0.6871

Main lines, low angle first (2θ = 10–90°):
Position (°2θ), d_spacing, intensity, index
26.76, 3.332, 33, 1 1 -1
29.90, 2.988, 100, 6 0 0
30.87, 2.897, 41, 4 0 -3
33.09, 2.707, 41, 3 1 -2
35.53, 2.527, 27, 3 1 2
60.48, 1.531, 26, 6 2 0

---

Diffraction record for Pm3PrNd3. The X-ray powder pattern is simulated, not measured: it uses a structure optimized by DFT (GGA-PBE) and a wavelength of 1.5418 Å.

Cell and atoms:
a b c (Å): 9.8254 9.8254 5.9294
angles (deg): 90.00 90.00 120.00
Space group P6_3/m (No. 176)
Inequivalent atoms, fractional coordinates:
Pm: 0.0470 0.2365 0.2500
Pr: 0.3333 0.6667 0.2500
Nd: 0.0952 0.4750 0.7500

Main lines, low angle first (2θ = 10–90°):
Position (°2θ), d_spacing, intensity, index
27.74, 3.216, 23, 2 1 0
30.14, 2.965, 25, 0 0 2
31.65, 2.827, 100, 2 1 1
49.06, 1.857, 20, 1 4 0
54.49, 1.684, 22, 2 1 3
58.67, 1.574, 23, 1 4 2